(1)
Simulated PXRD pattern of CoPb3N3 for CuKα, from a cell relaxed with PBE.
No peak broadening, texture or thermal motion is included.

```
CoPb3N3
1.0
10.138 0.000 0.000
-5.069 8.779 0.000
0.000 0.000 3.859
Co Pb N
2 6 6
Cartesian
0.000 5.853 0.965
5.069 2.926 2.894
-1.228 3.546 2.894
-1.384 8.070 2.894
2.457 2.836 0.965
2.612 5.943 2.894
6.453 0.710 0.965
6.297 5.233 0.965
-1.465 4.910 0.965
-0.084 7.594 0.965
1.550 5.055 0.965
3.519 3.724 2.894
5.153 1.186 2.894
6.534 3.870 2.894
```

Main lines, low angle first (2θ from 10° to 80°):
two_theta  intensity
10.08  54
17.50  21
26.87  87
29.08  100
30.55  22
30.85  33
35.69  39
45.01  20
47.67  35
51.16  33
55.06  25
58.54  14

=====

(2)
Simulated PXRD pattern of RbCoN for CuKα, from a cell relaxed with PBE.
No peak broadening, texture or thermal motion is included.

```
RbCoN
1.0
10.888 0.000 0.000
0.000 3.495 0.000
0.000 0.000 6.484
Rb Co N
4 4 4
Cartesian
1.774 0.874 0.511
3.671 2.621 3.753
7.218 0.874 2.732
9.115 2.621 5.974
0.485 0.874 3.847
4.959 2.621 0.605
5.929 0.874 5.880
10.403 2.621 2.637
0.711 2.621 4.160
4.733 0.874 0.918
6.155 2.621 5.566
10.177 0.874 2.324
```

Main lines, low angle first (2θ from 10° to 80°):
two_theta  intensity
27.51  19
28.18  100
28.73  51
30.18  38
30.39  63
35.78  23
38.78  42
51.41  36
52.54  20
54.18  20
60.51  21
60.80  21

=====

(3)
Simulated PXRD pattern of Co2RuN3 for CuKα, from a cell relaxed with PBE.
No peak broadening, texture or thermal motion is included.

```
Co2RuN3
1.0
2.493 -5.234 0.000
2.493 5.234 0.000
-0.434 0.000 9.224
Co Ru N
8 4 12
Cartesian
0.941 1.899 3.636
0.893 2.062 8.029
0.724 -1.899 8.248
1.110 -2.062 3.417
3.442 2.062 5.807
3.827 1.899 0.976
3.659 -2.062 1.195
3.610 -1.899 5.588
1.299 0.147 1.571
1.082 -0.147 6.184
3.470 0.147 3.041
3.253 -0.147 7.653
1.487 3.720 8.796
2.384 4.324 2.306
1.729 1.448 5.278
2.848 3.720 5.041
2.384 1.874 2.306
2.605 1.448 8.558
1.946 -1.448 0.666
2.167 -1.874 6.918
1.704 -3.720 4.184
2.822 -1.448 3.946
2.167 -4.324 6.918
3.065 -3.720 0.429
```

Main lines, low angle first (2θ from 10° to 80°):
two_theta  intensity
25.75  33
27.10  21
34.63  13
36.07  64
36.54  100
37.47  97
39.06  27
44.93  18
52.45  17
52.84  21
64.54  26
66.39  14

=====

(4)
Simulated PXRD pattern of Co2SbN3 for CuKα, from a cell relaxed with PBE.
No peak broadening, texture or thermal motion is included.

```
Co2SbN3
1.0
2.731 -8.523 0.000
2.731 8.523 0.000
-0.185 0.000 7.570
Co Sb N
8 4 12
Cartesian
1.600 4.481 6.449
1.585 2.977 4.351
3.585 4.481 4.906
1.677 -2.977 0.567
3.600 2.977 7.003
1.693 -4.481 2.664
3.692 -2.977 3.218
3.677 -4.481 1.121
1.074 1.201 6.943
1.167 -1.201 3.158
4.111 1.201 4.412
4.203 -1.201 0.627
1.800 4.874 4.697
2.685 6.173 1.892
2.026 2.975 0.169
3.384 4.874 6.657
2.592 1.752 5.677
3.343 2.976 3.616
1.934 -2.976 3.954
2.685 -1.752 1.892
1.893 -4.874 0.912
3.251 -2.976 7.401
2.592 -6.173 5.677
3.477 -4.874 2.873
```

Main lines, low angle first (2θ from 10° to 80°):
two_theta  intensity
10.38  54
15.66  100
20.95  42
23.50  25
23.96  26
25.31  82
32.80  60
33.02  51
33.12  38
33.31  76
37.16  32
39.46  36

=====

(5)
Simulated PXRD pattern of Co3SbN for CuKα, from a cell relaxed with PBE.
No peak broadening, texture or thermal motion is included.

```
Co3SbN
1.0
5.563 0.000 0.000
0.000 7.791 0.000
0.000 0.000 5.485
Co Sb N
12 4 4
Cartesian
0.225 1.948 0.009
1.352 0.059 4.049
1.352 3.836 4.049
1.430 3.955 1.307
1.430 7.732 1.307
2.557 5.843 2.751
3.007 1.948 2.733
4.134 0.059 4.178
4.134 3.836 4.178
4.212 3.955 1.435
4.212 7.732 1.435
5.338 5.843 5.475
0.050 1.948 2.703
2.732 5.843 5.446
2.832 1.948 0.039
5.514 5.843 2.781
0.000 0.000 0.000
0.000 3.895 0.000
2.782 0.000 2.742
2.782 3.895 2.742
```

Main lines, low angle first (2θ from 10° to 80°):
two_theta  intensity
22.79  15
32.46  23
32.65  6
39.82  98
40.22  100
46.50  72
46.63  38
57.55  6
58.13  6
67.32  9
67.98  42
68.42  11

=====

(6)
Simulated PXRD pattern of CoSiN2 for CuKα, from a cell relaxed with PBE.
No peak broadening, texture or thermal motion is included.

```
CoSiN2
1.0
4.315 0.000 0.000
0.000 4.315 0.000
0.000 0.000 8.301
Co Si N
4 4 8
Cartesian
0.000 0.000 0.000
0.000 2.157 2.075
2.157 0.000 6.226
2.157 2.157 4.150
0.000 0.000 4.150
0.000 2.157 6.226
2.157 0.000 2.075
2.157 2.157 0.000
0.910 1.079 5.188
1.079 3.067 7.263
1.079 3.405 3.113
1.248 1.079 1.038
3.067 3.236 1.038
3.236 0.910 3.113
3.236 1.248 7.263
3.405 3.236 5.188
```

Main lines, low angle first (2θ from 10° to 80°):
two_theta  intensity
23.23  14
36.55  100
38.66  7
41.87  17
43.61  7
48.43  7
58.30  2
60.71  14
62.06  27
72.99  22
75.45  10
77.69  6

=====

(7)
Simulated PXRD pattern of CoSi7N10 for CuKα, from a cell relaxed with PBE.
No peak broadening, texture or thermal motion is included.

```
CoSi7N10
1.0
6.665 0.000 0.000
0.000 6.922 0.000
-2.401 0.000 9.404
Co Si N
2 14 20
Cartesian
0.000 0.704 0.000
-1.201 6.218 4.702
-1.426 2.787 8.155
-0.225 4.135 3.454
1.489 2.641 1.631
0.288 4.281 6.333
0.284 0.144 7.624
1.485 6.777 2.923
2.020 2.538 4.484
0.819 4.384 9.186
3.256 0.123 1.060
2.055 6.799 5.762
2.435 2.500 7.347
3.636 4.421 2.646
5.310 2.646 0.948
4.109 4.276 5.650
-0.120 2.990 2.140
-1.321 3.932 6.842
-1.078 1.107 7.921
0.122 5.815 3.219
1.822 3.426 0.138
0.621 3.496 4.840
1.610 0.900 1.456
0.409 6.022 6.157
1.796 0.834 4.326
0.595 6.088 9.028
2.503 3.157 2.937
1.302 3.764 7.638
1.752 0.950 7.117
2.953 5.972 2.415
3.114 2.867 5.786
4.315 4.055 1.084
4.674 1.054 0.962
3.473 5.868 5.664
3.570 2.648 8.678
4.771 4.274 3.976
```

Main lines, low angle first (2θ from 10° to 80°):
two_theta  intensity
15.90  78
19.45  100
22.55  25
25.74  25
26.06  28
29.13  22
32.20  32
37.19  22
37.53  43
38.74  26
39.61  26
41.89  17

=====

(8)
Simulated PXRD pattern of Co3Si6N11 for CuKα, from a cell relaxed with PBE.
No peak broadening, texture or thermal motion is included.

```
Co3Si6N11
1.0
9.555 0.000 0.000
0.000 9.555 0.000
0.000 0.000 4.859
Co Si N
6 12 22
Cartesian
0.000 0.000 0.000
1.516 3.262 4.622
3.262 8.039 4.622
4.777 4.777 0.000
6.293 1.516 4.622
8.039 6.293 4.622
0.687 7.507 2.793
1.191 5.968 0.393
2.048 0.687 2.793
2.730 5.464 2.793
3.586 1.191 0.393
4.090 2.730 2.793
5.464 6.825 2.793
5.968 8.364 0.393
6.825 4.090 2.793
7.507 8.868 2.793
8.364 3.586 0.393
8.868 2.048 2.793
0.000 4.777 0.629
0.643 7.460 1.070
0.847 1.734 3.505
1.277 6.054 3.500
1.734 8.707 3.505
2.095 0.643 1.070
2.682 5.420 1.070
3.043 3.930 3.505
3.501 1.277 3.500
3.930 6.512 3.505
4.134 2.682 1.070
4.777 0.000 0.629
5.420 6.872 1.070
5.625 3.043 3.505
6.054 8.278 3.500
6.512 5.625 3.505
6.872 4.134 1.070
7.460 8.912 1.070
7.820 0.847 3.505
8.278 3.501 3.500
8.707 7.820 3.505
8.912 2.095 1.070
```

Main lines, low angle first (2θ from 10° to 80°):
two_theta  intensity
18.26  57
27.80  58
29.56  24
32.28  48
34.97  100
37.00  14
38.86  29
42.30  29
42.82  37
48.06  29
61.24  24
65.41  17

=====

(9)
Simulated PXRD pattern of Sm2Co17N2 for CuKα, from a cell relaxed with PBE.
No peak broadening, texture or thermal motion is included.

```
Sm2Co17N2
1.0
4.718 -4.233 0.000
4.718 4.233 0.000
-0.884 0.000 6.316
Sm Co N
2 17 2
Cartesian
1.122 0.000 2.103
7.431 0.000 4.212
2.359 2.117 0.000
3.453 2.074 2.145
0.691 0.000 5.471
2.763 1.210 4.524
4.718 2.384 0.000
5.100 2.074 4.170
3.701 0.000 0.570
5.790 1.210 1.791
2.359 -2.117 0.000
4.276 0.000 3.158
2.763 -1.210 4.524
4.852 0.000 5.746
3.453 -2.074 2.145
4.718 -2.384 0.000
5.790 -1.210 1.791
7.861 0.000 0.844
5.100 -2.074 4.170
1.917 2.117 3.158
1.917 -2.117 3.158
```

Main lines, low angle first (2θ from 10° to 80°):
two_theta  intensity
30.53  53
36.48  24
36.70  54
38.53  68
42.46  100
42.72  52
42.96  37
43.16  94
43.26  66
44.31  32
44.94  86
63.44  32